[1]
Structure and computed XRD peak list of VZnAs2O7 (the GGA+U geometry in the Materials Project; Cu Kα (λ = 1.5418 Å)).

Crystal structure
Cell: 7.8495 8.1685 11.0713 Å, 90.00 121.21 90.00°
Space group P2_1/c (No. 14)
Symmetry-distinct sites (fractional):
V1 0.1899 0.0567 0.2948 [4 per cell]
Zn1 0.2619 0.0674 0.8802 [4 per cell]
As1 0.0294 0.7108 0.9632 [4 per cell]
As2 0.4519 0.7140 0.2626 [4 per cell]
O1 0.0094 0.5816 0.8244 [4 per cell]
O2 0.0530 0.5951 0.3842 [4 per cell]
O3 0.2380 0.1987 0.4210 [4 per cell]
O4 0.3020 0.6546 0.0856 [4 per cell]
O5 0.3204 0.2342 0.2220 [4 per cell]
O6 0.3567 0.6048 0.7809 [4 per cell]
O7 0.4688 0.5727 0.3835 [4 per cell]

Most intense lines, 15 to 90 degrees two-theta, in order of rising 2θ:
hkl 2 1 -2, 25.69 deg, I 92.8; hkl 1 1 -3, 26.54 deg, I 15.1; hkl 1 2 -2, 27.36 deg, I 100.0; hkl 1 0 2, 28.13 deg, I 63.7; hkl 3 0 -2, 34.30 deg, I 20.4; hkl 2 2 0, 34.59 deg, I 25.6; hkl 1 1 -4, 34.79 deg, I 21.0; hkl 3 1 0, 41.86 deg, I 18.8; hkl 0 2 4, 44.22 deg, I 14.7; hkl 3 3 -4, 51.48 deg, I 22.2

[2]
Structure and computed XRD peak list of VZnAsO5 (the GGA+U geometry in the Materials Project; Cu Kα (λ = 1.5418 Å)).

Crystal structure
Cell: 6.2260 8.2029 8.3621 Å, 90.00 90.00 90.00°
Space group P2_12_12_1 (No. 19)
Symmetry-distinct sites (fractional):
V1 0.2399 0.2452 0.0055 [4 per cell]
Zn1 0.0896 0.8561 0.1830 [4 per cell]
As1 0.0047 0.9173 0.8162 [4 per cell]
O1 0.0049 0.8543 0.4002 [4 per cell]
O2 0.0119 0.6115 0.6037 [4 per cell]
O3 0.0449 0.7830 0.9697 [4 per cell]
O4 0.2265 0.9244 0.6883 [4 per cell]
O5 0.2299 0.3710 0.7830 [4 per cell]

Most intense lines, 15 to 90 degrees two-theta, in order of rising 2θ:
hkl 1 1 1, 20.82 deg, I 56.1; hkl 1 2 0, 26.02 deg, I 100.0; hkl 1 2 1, 28.15 deg, I 25.3; hkl 0 2 2, 30.53 deg, I 27.2; hkl 2 1 1, 32.58 deg, I 40.2; hkl 1 2 2, 33.83 deg, I 35.5; hkl 0 1 3, 33.97 deg, I 28.9; hkl 1 1 3, 37.00 deg, I 40.7; hkl 2 1 2, 37.66 deg, I 24.9; hkl 2 3 3, 55.58 deg, I 34.5

[3]
Structure and computed XRD peak list of As2W2O11 (the GGA+U geometry in the Materials Project; Cu Kα (λ = 1.5418 Å)).

Crystal structure
Cell: 16.6425 6.5761 8.3726 Å, 90.00 90.00 90.00°
Space group Pnma (No. 62)
Symmetry-distinct sites (fractional):
As1 0.0891 0.2500 0.0876 [4 per cell]
As2 0.2440 0.7500 0.9890 [4 per cell]
W1 0.0627 0.7500 0.2312 [4 per cell]
W2 0.1968 0.7500 0.5811 [4 per cell]
O1 0.0057 0.2500 0.6133 [4 per cell]
O2 0.0158 0.2500 0.9455 [4 per cell]
O3 0.0706 0.0490 0.2137 [8 per cell]
O4 0.1069 0.7500 0.6845 [4 per cell]
O5 0.1452 0.7500 0.0296 [4 per cell]
O6 0.1584 0.7500 0.3653 [4 per cell]
O7 0.1795 0.2500 0.9945 [4 per cell]
O8 0.2053 0.0491 0.5747 [8 per cell]
O9 0.2360 0.2500 0.2878 [4 per cell]

Most intense lines, 15 to 90 degrees two-theta, in order of rising 2θ:
hkl 2 0 1, 15.01 deg, I 26.6; hkl 2 1 0, 17.18 deg, I 44.7; hkl 1 1 1, 17.96 deg, I 22.8; hkl 2 1 1, 20.22 deg, I 62.9; hkl 1 0 2, 21.89 deg, I 30.2; hkl 4 0 1, 23.84 deg, I 100.0; hkl 0 2 0, 27.12 deg, I 68.0; hkl 4 1 2, 33.28 deg, I 41.8; hkl 0 1 3, 34.92 deg, I 26.6; hkl 4 2 1, 36.42 deg, I 37.9

[4]
Structure and computed XRD peak list of AsWO5 (the GGA+U geometry in the Materials Project; Cu Kα (λ = 1.5418 Å)).

Crystal structure
Cell: 6.1672 8.5242 8.8561 Å, 90.00 92.58 90.00°
Space group P2_1 (No. 4)
Symmetry-distinct sites (fractional):
As1 0.0216 0.0000 0.1315 [2 per cell]
As2 0.3687 0.1424 0.4003 [2 per cell]
W1 0.2410 0.6261 0.1982 [2 per cell]
W2 0.2832 0.1011 0.8082 [2 per cell]
O1 0.0035 0.7871 0.1329 [2 per cell]
O2 0.0036 0.9874 0.7866 [2 per cell]
O3 0.0638 0.0709 0.3083 [2 per cell]
O4 0.2110 0.5607 0.9607 [2 per cell]
O5 0.2426 0.1694 0.6152 [2 per cell]
O6 0.2479 0.0446 0.0292 [2 per cell]
O7 0.2543 0.6924 0.3832 [2 per cell]
O8 0.4848 0.4659 0.2218 [2 per cell]
O9 0.4925 0.9736 0.4239 [2 per cell]
O10 0.4956 0.7492 0.1306 [2 per cell]

Most intense lines, 15 to 90 degrees two-theta, in order of rising 2θ:
hkl 0 0 2, 20.08 deg, I 37.1; hkl 0 2 0, 20.84 deg, I 100.0; hkl 0 1 2, 22.65 deg, I 42.0; hkl 0 2 2, 29.09 deg, I 19.3; hkl 0 0 3, 30.31 deg, I 17.6; hkl 2 1 -1, 32.11 deg, I 56.1; hkl 2 1 1, 32.94 deg, I 38.3; hkl 0 3 1, 33.11 deg, I 19.1; hkl 2 2 0, 35.97 deg, I 32.7; hkl 2 2 -2, 40.85 deg, I 19.6

[5]
Structure and computed XRD peak list of As4W3O16 (the GGA+U geometry in the Materials Project; Cu Kα (λ = 1.5418 Å)).

Crystal structure
Cell: 8.5394 4.9884 15.8638 Å, 90.00 98.52 90.00°
Space group P2_1/c (No. 14)
Symmetry-distinct sites (fractional):
As1 0.1173 0.0187 0.3948 [4 per cell]
As2 0.3279 0.0129 0.8318 [4 per cell]
W1 0.0000 0.0000 0.0000 [2 per cell]
W2 0.2809 0.0461 0.6142 [4 per cell]
O1 0.0233 0.2491 0.1085 [4 per cell]
O2 0.0856 0.7097 0.0781 [4 per cell]
O3 0.1366 0.2445 0.3143 [4 per cell]
O4 0.1977 0.2134 0.4891 [4 per cell]
O5 0.2700 0.6097 0.2259 [4 per cell]
O6 0.2753 0.7172 0.8921 [4 per cell]
O7 0.3703 0.1451 0.1503 [4 per cell]
O8 0.4315 0.6379 0.0786 [4 per cell]

Most intense lines, 15 to 90 degrees two-theta, in order of rising 2θ:
hkl 2 0 0, 21.04 deg, I 34.4; hkl 1 1 1, 21.86 deg, I 66.4; hkl 0 0 4, 22.67 deg, I 36.8; hkl 2 0 2, 25.39 deg, I 27.0; hkl 2 1 -1, 27.62 deg, I 100.0; hkl 1 1 3, 27.85 deg, I 43.6; hkl 2 0 4, 33.40 deg, I 27.8; hkl 0 1 5, 33.75 deg, I 75.0; hkl 3 1 -1, 36.35 deg, I 29.4; hkl 2 2 4, 49.93 deg, I 27.4

[6]
Structure and computed XRD peak list of ZnAs2WO7 (the GGA+U geometry in the Materials Project; Cu Kα (λ = 1.5418 Å)).

Crystal structure
Cell: 8.5927 9.1217 10.7388 Å, 90.00 126.48 90.00°
Space group P2_1/c (No. 14)
Symmetry-distinct sites (fractional):
Zn1 0.1927 0.0531 0.1303 [4 per cell]
As1 0.0097 0.7286 0.7201 [4 per cell]
As2 0.4448 0.6717 0.0278 [4 per cell]
W1 0.3256 0.0866 0.7003 [4 per cell]
O1 0.0239 0.0696 0.8990 [4 per cell]
O2 0.1917 0.2267 0.7450 [4 per cell]
O3 0.1933 0.6253 0.9064 [4 per cell]
O4 0.2036 0.5740 0.1903 [4 per cell]
O5 0.2441 0.1742 0.5221 [4 per cell]
O6 0.4294 0.6581 0.6135 [4 per cell]
O7 0.4731 0.0441 0.3023 [4 per cell]

Most intense lines, 15 to 90 degrees two-theta, in order of rising 2θ:
hkl 1 1 0, 16.09 deg, I 33.7; hkl 0 0 2, 20.57 deg, I 35.2; hkl 0 2 1, 22.04 deg, I 45.3; hkl 1 1 1, 22.90 deg, I 61.0; hkl 2 1 -1, 23.42 deg, I 42.5; hkl 2 1 -2, 23.49 deg, I 100.0; hkl 1 2 -2, 25.63 deg, I 92.0; hkl 1 0 2, 30.23 deg, I 30.1; hkl 2 3 -2, 36.60 deg, I 30.1; hkl 3 2 -1, 39.29 deg, I 34.5

[7]
Structure and computed XRD peak list of Zn3As4W3O16 (the GGA+U geometry in the Materials Project; Cu Kα (λ = 1.5418 Å)).

Crystal structure
Cell: 10.1366 5.2526 15.9117 Å, 90.00 108.36 90.00°
Space group P2_1/c (No. 14)
Symmetry-distinct sites (fractional):
Zn1 0.0000 0.0000 0.0000 [2 per cell]
Zn2 0.2602 0.0657 0.2832 [4 per cell]
As1 0.0693 0.5701 0.1708 [4 per cell]
As2 0.3616 0.1665 0.1064 [4 per cell]
W1 0.2196 0.5113 0.3966 [4 per cell]
W2 0.5000 0.0000 0.5000 [2 per cell]
O1 0.0752 0.6905 0.4116 [4 per cell]
O2 0.0998 0.2481 0.3184 [4 per cell]
O3 0.1112 0.7284 0.6004 [4 per cell]
O4 0.2091 0.1684 0.0113 [4 per cell]
O5 0.2171 0.7017 0.2896 [4 per cell]
O6 0.2951 0.2330 0.6893 [4 per cell]
O7 0.3658 0.2217 0.4025 [4 per cell]
O8 0.3686 0.7069 0.4661 [4 per cell]

Most intense lines, 15 to 90 degrees two-theta, in order of rising 2θ:
hkl 1 1 1, 20.98 deg, I 41.7; hkl 2 1 -1, 24.41 deg, I 100.0; hkl 2 0 2, 24.90 deg, I 23.6; hkl 1 1 3, 28.15 deg, I 87.5; hkl 3 1 -3, 32.77 deg, I 64.6; hkl 3 0 2, 33.63 deg, I 22.1; hkl 0 2 0, 34.18 deg, I 29.8; hkl 0 1 5, 34.25 deg, I 51.3; hkl 2 0 -6, 34.64 deg, I 42.7; hkl 1 2 -2, 36.46 deg, I 19.4